Simulated powder XRD pattern
Compound: Tm5ThRu3
Radiation: Cu Kα X-rays
Structure: DFT lattice parameters and positions (PBE)

Structural model:
Cell lengths 12.1963, 9.0020, 9.8667 Å; angles 90.00, 112.28, 90.00 degrees
Space group C2/m (No. 12)
Unique sites:
Tm: 0.0000 0.1947 0.0000 x4
Tm: 0.0669 0.0000 0.3672 x4
Tm: 0.1670 0.3005 0.6729 x8
Tm: 0.2340 0.5000 0.0310 x4
Th: 0.1042 0.5000 0.3005 x4
Ru: 0.0000 0.5000 0.0000 x2
Ru: 0.0000 0.5000 0.5000 x2
Ru: 0.1673 0.0000 0.1691 x4
Ru: 0.1726 0.0000 0.6679 x4

Peak list (10 most intense, 10° ≤ 2θ ≤ 90°, sorted by position)
19.7 deg, I 16, hkl 0 2 0; 28.1 deg, I 17, hkl 2 2 -2; 29.3 deg, I 100, hkl 2 2 1; 31.4 deg, I 16, hkl 1 3 -1; 31.6 deg, I 17, hkl 3 1 -3; 38.4 deg, I 16, hkl 1 3 2; 38.5 deg, I 19, hkl 5 1 -2; 40.1 deg, I 12, hkl 0 4 0; 43.6 deg, I 18, hkl 4 0 2; 48.3 deg, I 43, hkl 5 3 -2

---

Simulated powder XRD pattern
Compound: TmThZnRu
Radiation: Cu Kα X-rays
Structure: DFT lattice parameters and positions (PBE)

Structural model:
Cell lengths 7.0605, 7.0605, 7.0605 Å; angles 90.00, 90.00, 90.00 degrees
Space group F-43m (No. 216)
Unique sites:
Tm: 0.0000 0.0000 0.0000 x4
Th: 0.0000 0.0000 0.5000 x4
Zn: 0.2500 0.2500 0.2500 x4
Ru: 0.2500 0.2500 0.7500 x4

Peak list (10 most intense, 10° ≤ 2θ ≤ 90°, sorted by position)
21.8 deg, I 3, hkl 1 1 1; 25.2 deg, I 18, hkl 2 0 0; 36.0 deg, I 100, hkl 2 2 0; 44.4 deg, I 6, hkl 2 2 2; 51.8 deg, I 18, hkl 4 0 0; 58.5 deg, I 8, hkl 4 2 0; 64.7 deg, I 36, hkl 4 2 2; 76.3 deg, I 11, hkl 4 4 0; 81.9 deg, I 4, hkl 6 0 0; 87.3 deg, I 16, hkl 6 2 0

---

Simulated powder XRD pattern
Compound: Th4ZnRu2
Radiation: Cu Kα X-rays
Structure: DFT lattice parameters and positions (PBE)

Structural model:
Cell lengths 11.8246, 14.0896, 8.5900 Å; angles 90.00, 90.00, 90.00 degrees
Space group Fdd2 (No. 43)
Unique sites:
Th: 0.0552 0.3814 0.0000 x16
Th: 0.1185 0.3148 0.4044 x16
Zn: 0.0000 0.0000 0.8308 x8
Ru: 0.0545 0.2988 0.7049 x16

Peak list (10 most intense, 10° ≤ 2θ ≤ 90°, sorted by position)
25.6 deg, I 17, hkl 2 0 2; 28.6 deg, I 53, hkl 2 2 2; 29.5 deg, I 37, hkl 2 4 0; 31.4 deg, I 80, hkl 3 3 1; 32.8 deg, I 100, hkl 4 2 0; 34.3 deg, I 34, hkl 1 5 1; 36.3 deg, I 29, hkl 2 4 2; 39.1 deg, I 18, hkl 4 2 2; 40.1 deg, I 18, hkl 5 1 1; 47.0 deg, I 18, hkl 1 7 1